# RbVOF3
Computed XRD peak list, λ = 1.5418 Å (Cu Kα). Input: a DFT-relaxed cell (GGA+U, Alexandria).
Lines closer than 0.1° are merged.

Atomic structure:
Cell lengths 6.905, 15.166, 3.952 Å; angles 90.00, 90.00, 90.00 degrees
Space group Pbam (No. 55)
Symmetry-distinct sites (fractional):
Rb 0.182 0.164 0.000 [4 per cell]
V 0.154 0.413 0.500 [4 per cell]
O 0.112 0.893 0.500 [4 per cell]
F 0.036 0.298 0.500 [4 per cell]
F 0.111 0.414 0.000 [4 per cell]
F 0.152 0.544 0.500 [4 per cell]

Peak list (10 most intense, 2θ from 5° to 70°, sorted by position)
| d [Å] | 2θ/deg | Rel. int. | index |
| --- | --- | --- | --- |
| 6.284 | 14.09 | 21.3 | 1 1 0 |
| 3.792 | 23.46 | 32.4 | 0 4 0 |
| 3.504 | 25.42 | 23.8 | 0 2 1 |
| 3.366 | 26.48 | 42.7 | 2 1 0 |
| 3.324 | 26.82 | 55.0 | 1 4 0 |
| 3.125 | 28.56 | 100.0 | 1 2 1 |
| 2.544 | 35.29 | 18.2 | 1 4 1 |
| 2.129 | 42.45 | 25.5 | 0 6 1 |
| 1.974 | 45.97 | 53.9 | 0 0 2 |
| 1.828 | 49.88 | 21.1 | 1 8 0 |